# 1
Structure and theoretical powder XRD pattern of MgSi2 (the GGA-PBE geometry in the Materials Project; Cu Kα).

Peak list (10 most intense, 10° ≤ 2θ ≤ 90°, low angle first)
2θ = 34.92°, rel. 12; 2θ = 37.71°, rel. 100; 2θ = 39.42°, rel. 97; 2θ = 41.58°, rel. 42; 2θ = 43.60°, rel. 23; 2θ = 49.09°, rel. 28; 2θ = 66.24°, rel. 20; 2θ = 67.72°, rel. 12; 2θ = 72.20°, rel. 10; 2θ = 75.52°, rel. 12

Structural model:
```
MgSi2
1.0
5.808 0.000 0.000
0.000 3.712 0.000
-0.423 0.000 9.340
Mg Si
4 8
Cartesian
0.072 0.000 3.223
1.079 1.856 7.875
4.307 1.856 1.464
5.313 0.000 6.116
0.000 0.000 0.000
1.399 1.856 1.358
1.544 1.856 5.085
2.756 0.000 2.842
2.904 0.000 0.000
2.629 0.000 6.498
3.841 1.856 4.254
3.986 1.856 7.982
```

# 2
Structure and theoretical powder XRD pattern of Eu3Tm (the GGA-PBE geometry in the Materials Project; Cu Kα).

Peak list (10 most intense, 10° ≤ 2θ ≤ 90°, low angle first)
2θ = 26.91°, rel. 23; 2θ = 29.21°, rel. 25; 2θ = 30.69°, rel. 100; 2θ = 40.14°, rel. 16; 2θ = 47.54°, rel. 20; 2θ = 52.73°, rel. 22; 2θ = 56.78°, rel. 23; 2θ = 57.66°, rel. 17; 2θ = 77.88°, rel. 14; 2θ = 80.42°, rel. 9

Structural model:
```
Eu3Tm
1.0
7.650 0.000 0.000
-3.825 6.626 0.000
0.000 0.000 6.115
Eu Tm
6 2
Cartesian
0.000 2.253 1.529
-1.874 5.499 1.529
1.951 1.126 4.586
1.874 5.499 1.529
5.699 1.126 4.586
3.825 4.373 4.586
0.000 4.417 4.586
3.825 2.208 1.529
```

# 3
Structure and theoretical powder XRD pattern of CsCuS6 (the GGA-PBE geometry in the Materials Project; Cu Kα).

Peak list (10 most intense, 10° ≤ 2θ ≤ 90°, low angle first)
2θ = 24.00°, rel. 80; 2θ = 25.34°, rel. 73; 2θ = 25.48°, rel. 73; 2θ = 26.38°, rel. 100; 2θ = 26.84°, rel. 29; 2θ = 27.06°, rel. 24; 2θ = 27.58°, rel. 35; 2θ = 34.19°, rel. 25; 2θ = 34.90°, rel. 24; 2θ = 35.07°, rel. 26

Structural model:
```
CsCuS6
1.0
7.585 0.000 0.000
2.288 10.702 0.000
1.256 3.068 11.075
Cs Cu S
4 4 24
Cartesian
2.505 4.537 4.664
4.108 7.688 0.798
7.021 6.082 10.277
8.624 9.234 6.411
3.390 7.999 9.646
4.954 7.299 6.795
6.175 6.472 4.281
7.739 5.772 1.430
2.246 4.551 8.447
2.120 4.467 0.806
3.024 6.453 7.974
1.544 1.096 0.665
4.236 10.775 8.078
4.344 11.276 4.782
3.477 3.622 9.828
2.807 2.576 1.385
5.275 11.765 6.615
4.366 7.911 4.617
5.156 8.906 8.434
5.354 9.663 4.009
5.775 4.107 7.067
5.973 4.865 2.641
6.763 5.859 6.458
5.854 2.005 4.460
8.322 11.195 9.690
7.652 10.149 1.248
6.785 2.495 6.294
6.892 2.996 2.998
9.585 12.675 10.410
8.105 7.318 3.101
9.009 9.303 10.270
8.883 9.220 2.629
```

# 4
Structure and theoretical powder XRD pattern of CeSe2 (the GGA-PBE geometry in the Materials Project; Cu Kα).

Peak list (10 most intense, 10° ≤ 2θ ≤ 90°, low angle first)
2θ = 16.11°, rel. 27; 2θ = 18.81°, rel. 100; 2θ = 23.01°, rel. 48; 2θ = 26.98°, rel. 32; 2θ = 30.15°, rel. 22; 2θ = 35.34°, rel. 30; 2θ = 36.91°, rel. 52; 2θ = 40.21°, rel. 22; 2θ = 41.28°, rel. 45; 2θ = 43.87°, rel. 24

Structural model:
```
CeSe2
1.0
19.057 0.000 0.000
-9.528 16.503 0.000
0.000 0.000 7.214
Ce Se
12 24
Cartesian
-1.996 8.062 3.449
-3.545 10.744 0.158
1.996 8.062 0.158
-1.549 14.201 3.449
7.979 2.303 7.056
5.984 5.759 3.765
3.545 10.744 3.449
1.549 14.201 0.158
11.077 2.303 3.765
7.533 8.442 7.056
13.073 5.759 7.056
11.524 8.442 3.765
-4.764 8.252 0.000
-4.764 8.252 3.607
0.000 6.814 1.804
-3.627 13.096 1.804
-1.787 9.970 5.411
-1.601 10.078 1.804
1.601 10.078 1.804
0.000 12.851 1.804
1.787 9.970 5.411
0.000 13.066 5.411
5.901 3.407 5.411
9.528 0.000 0.000
9.528 0.000 3.607
4.764 8.252 0.000
4.764 8.252 3.607
3.627 13.096 1.804
9.528 3.437 1.804
7.741 6.533 1.804
9.528 3.652 5.411
7.927 6.426 5.411
11.129 6.426 5.411
11.316 6.533 1.804
13.155 3.407 5.411
9.528 9.689 5.411
```

# 5
Structure and theoretical powder XRD pattern of Ca3Ti2N4 (the GGA-PBE geometry in the Materials Project; Cu Kα).

Peak list (10 most intense, 10° ≤ 2θ ≤ 90°, low angle first)
2θ = 30.48°, rel. 61; 2θ = 31.36°, rel. 100; 2θ = 32.09°, rel. 20; 2θ = 34.54°, rel. 41; 2θ = 42.26°, rel. 40; 2θ = 42.68°, rel. 40; 2θ = 43.16°, rel. 38; 2θ = 46.27°, rel. 23; 2θ = 47.13°, rel. 22; 2θ = 52.57°, rel. 16

Structural model:
```
Ca3Ti2N4
1.0
5.529 -4.238 0.000
5.529 4.238 0.000
-0.201 0.000 5.578
Ca Ti N
6 4 8
Cartesian
5.378 3.328 4.183
4.212 1.114 2.593
6.746 1.114 0.196
4.111 -1.114 5.382
6.646 -1.114 2.985
5.479 -3.328 1.394
2.039 0.999 5.069
2.140 -0.999 2.280
8.718 0.999 3.298
8.819 -0.999 0.509
1.639 0.658 3.189
3.973 1.455 5.384
1.739 -0.658 0.400
6.784 1.455 2.983
4.074 -1.455 2.595
9.118 0.658 5.178
6.885 -1.455 0.194
9.219 -0.658 2.389
```

# 6
Structure and theoretical powder XRD pattern of Bi2Te2O (the GGA-PBE geometry in the Materials Project; Cu Kα).

Peak list (10 most intense, 10° ≤ 2θ ≤ 90°, low angle first)
2θ = 21.74°, rel. 43; 2θ = 23.71°, rel. 18; 2θ = 26.70°, rel. 47; 2θ = 29.91°, rel. 100; 2θ = 34.69°, rel. 76; 2θ = 37.28°, rel. 35; 2θ = 42.81°, rel. 42; 2θ = 49.54°, rel. 22; 2θ = 56.23°, rel. 39; 2θ = 70.48°, rel. 18

Structural model:
```
Bi2Te2O
1.0
4.225 0.000 0.000
0.000 4.225 0.000
0.000 0.000 16.348
Bi Te O
4 4 2
Cartesian
1.056 1.056 1.185
1.056 1.056 10.567
3.169 3.169 5.781
3.169 3.169 15.163
1.056 1.056 6.689
1.056 1.056 13.467
3.169 3.169 2.881
3.169 3.169 9.659
1.056 3.169 0.000
3.169 1.056 0.000
```

# 7
Structure and theoretical powder XRD pattern of Lu4Al24Pt9 (the GGA-PBE geometry in the Materials Project; Cu Kα).

Peak list (10 most intense, 10° ≤ 2θ ≤ 90°, low angle first)
2θ = 20.59°, rel. 40; 2θ = 23.75°, rel. 44; 2θ = 23.89°, rel. 85; 2θ = 28.69°, rel. 92; 2θ = 28.85°, rel. 47; 2θ = 30.10°, rel. 100; 2θ = 30.16°, rel. 50; 2θ = 41.57°, rel. 56; 2θ = 41.72°, rel. 56; 2θ = 41.90°, rel. 73

Structural model:
```
Lu4Al24Pt9
1.0
7.470 0.000 0.000
3.702 6.517 0.000
2.459 -0.005 12.942
Lu Al Pt
4 24 9
Cartesian
2.449 2.155 3.976
7.394 6.505 8.971
6.238 0.007 3.971
11.183 4.357 8.967
3.695 4.338 5.745
3.761 4.335 2.225
2.465 2.174 0.755
3.709 -0.002 12.183
5.432 5.664 4.086
6.205 4.302 10.732
6.179 4.352 7.099
3.734 0.004 5.747
5.890 2.188 8.841
5.437 2.983 4.092
7.416 6.479 2.226
6.197 4.349 0.787
7.435 2.163 12.155
6.216 0.033 10.716
8.195 3.529 8.850
7.742 4.324 4.102
9.898 6.509 7.195
7.453 2.161 5.843
7.427 2.211 2.210
8.200 0.849 8.856
9.923 6.515 0.759
11.167 4.339 12.188
9.871 2.177 10.717
9.937 2.174 7.197
1.230 -0.002 6.471
1.207 0.055 1.804
4.881 2.168 11.139
4.900 2.140 6.467
4.929 2.118 1.780
8.703 4.395 11.163
8.732 4.373 6.475
8.751 4.345 1.804
12.425 6.458 11.138
```